The following is a computed X-ray diffraction stick pattern of La6HoEr2Tm. It was derived from a PBE-relaxed structure, using Cu Kα, 1.54184 Å.

Atomic structure:
```
La6HoEr2Tm
1.0
4.6538 -7.7236 0.0000
4.6538 7.7236 0.0000
-1.4167 0.0000 9.6433
La Ho Er Tm
12 2 4 2
Cartesian
2.3464 4.3165 1.8731
3.2753 5.0313 5.3200
3.9072 5.0313 9.1450
3.2041 1.6526 3.6693
6.2528 4.3165 2.9485
5.3951 1.6526 1.1523
2.4958 -1.6526 8.4910
1.6380 -4.3165 6.6948
4.6867 -1.6526 5.9740
3.9837 -5.0313 0.4983
4.6155 -5.0313 4.3233
5.5444 -4.3165 7.7702
4.2996 7.3185 2.4108
3.5912 -7.3185 7.2325
2.2165 0.7229 0.4440
1.5081 -0.7229 5.2656
6.3827 0.7229 4.3777
5.6743 -0.7229 9.1993
3.5912 1.3473 7.2325
4.2996 -1.3473 2.4108
```

Main lines, in order of rising 2θ (10 to 90 degrees two-theta):
2theta  I/Imax
27.3  45
28.1  65
29.8  75
30.1  99
30.5  60
30.8  69
31.0  100
33.1  56